Record 1
The following is a theoretical powder diffractogram of Dy2Y3ErTe6. It was derived from a DFT-relaxed cell (PBE, Alexandria), using a wavelength of 1.5418 Å.

Crystal structure
Unit cell a=18.9735 b=4.3366 c=8.7473 alpha=90.00 beta=103.29 gamma=90.00
Space group C2/m (No. 12)
Asymmetric unit:
Dy 0.1680 0.0000 0.3343 (multiplicity 4)
Y 0.0000 0.5000 0.5000 (multiplicity 2)
Y 0.1681 0.0000 0.8323 (multiplicity 4)
Er 0.0000 0.5000 0.0000 (multiplicity 2)
Te 0.0002 0.0000 0.2471 (multiplicity 4)
Te 0.1650 0.5000 0.0824 (multiplicity 4)
Te 0.1662 0.5000 0.5818 (multiplicity 4)

Largest 10 diffraction maxima, low angle first, 2θ = 10–90°:
29.00°, intensity 100, (6 0 0); 41.28°, intensity 13, (2 0 -4); 41.48°, intensity 50, (5 1 2); 41.65°, intensity 12, (0 2 0); 51.25°, intensity 14, (4 0 4); 51.56°, intensity 13, (6 2 0); 60.10°, intensity 12, (2 2 -4); 68.11°, intensity 23, (4 2 4); 75.40°, intensity 8, (3 1 6); 75.85°, intensity 8, (5 3 2)


Record 2
The following is a theoretical powder diffractogram of Dy2Er5Th4. It was derived from a DFT-relaxed cell (PBE, Alexandria), using a wavelength of 1.5418 Å.

Crystal structure
Unit cell a=3.5599 b=8.6169 c=11.8043 alpha=104.60 beta=98.61 gamma=90.04
Space group P-1 (No. 2)
Asymmetric unit:
Dy 0.0894 0.2201 0.1799 (multiplicity 2)
Er 0.0000 0.5000 0.0000 (multiplicity 1)
Er 0.2727 0.6858 0.5446 (multiplicity 2)
Er 0.3634 0.4041 0.7266 (multiplicity 2)
Th 0.1819 0.9527 0.3644 (multiplicity 2)
Th 0.4538 0.1373 0.9079 (multiplicity 2)

Largest 10 diffraction maxima, low angle first, 2θ = 10–90°:
30.76°, intensity 50, (0 1 -4); 30.86°, intensity 100, (1 1 1); 31.14°, intensity 49, (0 3 -1); 35.74°, intensity 68, (1 2 -3); 36.02°, intensity 33, (0 2 3); 51.38°, intensity 37, (1 0 5); 51.90°, intensity 24, (1 4 0); 61.05°, intensity 22, (2 1 -5); 61.27°, intensity 22, (0 1 7); 61.55°, intensity 28, (1 3 4)


Record 3
The following is a theoretical powder diffractogram of DyErTh4. It was derived from a DFT-relaxed cell (PBE, Alexandria), using a wavelength of 1.5418 Å.

Crystal structure
Unit cell a=3.5761 b=6.1614 c=9.3640 alpha=76.97 beta=79.02 gamma=73.17
Space group P-1 (No. 2)
Asymmetric unit:
Dy 0.0000 0.0000 0.0000 (multiplicity 1)
Er 0.0000 0.5000 0.5000 (multiplicity 1)
Th 0.3306 0.0010 0.3347 (multiplicity 2)
Th 0.3305 0.5026 0.8331 (multiplicity 2)

Largest 10 diffraction maxima, low angle first, 2θ = 10–90°:
30.78°, intensity 100, (1 0 2); 30.86°, intensity 33, (0 1 3); 35.58°, intensity 46, (1 2 2); 35.99°, intensity 22, (0 1 -3); 51.51°, intensity 33, (1 1 5); 60.87°, intensity 20, (2 3 1); 61.03°, intensity 20, (1 4 2); 61.50°, intensity 19, (0 0 6); 64.07°, intensity 9, (2 0 4); 86.39°, intensity 10, (2 5 1)


Record 4
The following is a theoretical powder diffractogram of Dy2Er3Th2. It was derived from a DFT-relaxed cell (PBE, Alexandria), using a wavelength of 1.5418 Å.

Crystal structure
Unit cell a=5.6945 b=22.2134 c=3.5160 alpha=90.00 beta=90.00 gamma=90.00
Space group Cmmm (No. 65)
Asymmetric unit:
Dy 0.0000 0.0710 0.0000 (multiplicity 4)
Er 0.0000 0.3487 0.0000 (multiplicity 4)
Er 0.0000 0.5000 0.5000 (multiplicity 2)
Th 0.0000 0.2040 0.5000 (multiplicity 4)

Largest 10 diffraction maxima, low angle first, 2θ = 10–90°:
30.09°, intensity 19, (0 4 1); 31.42°, intensity 28, (2 0 0); 32.28°, intensity 100, (1 7 0); 36.20°, intensity 11, (1 5 1); 44.05°, intensity 13, (2 4 1); 48.47°, intensity 11, (0 10 1); 56.48°, intensity 20, (3 7 0); 58.91°, intensity 12, (2 10 1); 62.04°, intensity 8, (2 0 2); 62.57°, intensity 16, (1 7 2)


Record 5
The following is a theoretical powder diffractogram of Dy3Er9Th2. It was derived from a DFT-relaxed cell (PBE, Alexandria), using a wavelength of 1.5418 Å.

Crystal structure
Unit cell a=16.2427 b=5.5567 c=10.2111 alpha=90.00 beta=105.37 gamma=90.00
Space group Cm (No. 8)
Asymmetric unit:
Dy 0.0000 0.0000 0.0000 (multiplicity 2)
Dy 0.0839 0.5000 0.2019 (multiplicity 2)
Dy 0.2373 0.0000 0.2140 (multiplicity 2)
Er 0.0445 0.5000 0.8385 (multiplicity 2)
Er 0.2069 0.5000 0.6880 (multiplicity 2)
Er 0.2529 0.5000 0.0233 (multiplicity 2)
Er 0.2633 0.5000 0.4220 (multiplicity 2)
Er 0.3282 0.0000 0.6463 (multiplicity 2)
Er 0.3790 0.0000 0.0179 (multiplicity 2)
Er 0.4209 0.5000 0.2741 (multiplicity 2)
Er 0.4604 0.5000 0.6445 (multiplicity 2)
Er 0.4857 0.0000 0.4688 (multiplicity 2)
Th 0.1246 0.0000 0.4602 (multiplicity 2)
Th 0.1672 0.0000 0.8442 (multiplicity 2)

Largest 10 diffraction maxima, low angle first, 2θ = 10–90°:
31.95°, intensity 18, (5 1 -1); 32.22°, intensity 44, (0 2 0); 32.40°, intensity 100, (3 1 -3); 32.82°, intensity 18, (5 1 0); 33.09°, intensity 14, (6 0 -1); 46.86°, intensity 11, (6 2 -1); 57.33°, intensity 12, (0 2 5); 57.57°, intensity 20, (3 3 -3); 57.87°, intensity 7, (6 0 -6); 64.42°, intensity 7, (5 1 5)


Record 6
The following is a theoretical powder diffractogram of Dy5Er2Th3. It was derived from a DFT-relaxed cell (PBE, Alexandria), using a wavelength of 1.5418 Å.

Crystal structure
Unit cell a=11.1730 b=5.0278 c=11.2497 alpha=90.00 beta=90.57 gamma=90.00
Space group C2/m (No. 12)
Asymmetric unit:
Dy 0.0000 0.0000 0.0000 (multiplicity 2)
Dy 0.1993 0.0000 0.6001 (multiplicity 4)
Dy 0.1995 0.5000 0.1009 (multiplicity 4)
Er 0.0975 0.5000 0.7982 (multiplicity 4)
Th 0.0000 0.5000 0.5000 (multiplicity 2)
Th 0.0988 0.0000 0.2991 (multiplicity 4)

Largest 10 diffraction maxima, low angle first, 2θ = 10–90°:
30.86°, intensity 100, (1 1 3); 35.60°, intensity 17, (2 0 -4); 35.72°, intensity 17, (0 2 0); 36.04°, intensity 17, (4 0 2); 51.31°, intensity 12, (2 2 -4); 51.56°, intensity 12, (2 0 6); 61.01°, intensity 15, (5 1 -5); 61.17°, intensity 15, (1 3 3); 61.61°, intensity 14, (7 1 1); 64.30°, intensity 13, (2 2 6)


Record 7
The following is a theoretical powder diffractogram of Dy4Er3Th. It was derived from a DFT-relaxed cell (PBE, Alexandria), using a wavelength of 1.5418 Å.

Crystal structure
Unit cell a=11.2913 b=7.2107 c=6.2235 alpha=90.00 beta=90.00 gamma=90.00
Space group Pmn2_1 (No. 31)
Asymmetric unit:
Dy 0.0000 0.1264 0.0000 (multiplicity 2)
Dy 0.0000 0.8702 0.5029 (multiplicity 2)
Dy 0.2499 0.1271 0.3426 (multiplicity 4)
Er 0.0000 0.3779 0.5021 (multiplicity 2)
Er 0.2493 0.3782 0.8320 (multiplicity 4)
Th 0.0000 0.6240 0.0034 (multiplicity 2)

Largest 10 diffraction maxima, low angle first, 2θ = 10–90°:
28.64°, intensity 24, (0 0 2); 31.70°, intensity 24, (4 0 0); 32.82°, intensity 100, (2 2 1); 43.24°, intensity 16, (4 0 2); 50.64°, intensity 7, (0 4 0); 50.78°, intensity 13, (0 2 3); 57.18°, intensity 21, (6 2 1); 60.98°, intensity 8, (4 4 0); 61.11°, intensity 15, (4 2 3); 61.69°, intensity 11, (2 4 2)


Record 8
The following is a theoretical powder diffractogram of Dy3Er7Th. It was derived from a DFT-relaxed cell (PBE, Alexandria), using a wavelength of 1.5418 Å.

Crystal structure
Unit cell a=6.8883 b=18.4102 c=6.4744 alpha=90.00 beta=121.45 gamma=90.00
Space group C2/m (No. 12)
Asymmetric unit:
Dy 0.0000 0.0000 0.0000 (multiplicity 2)
Dy 0.2500 0.2500 0.5000 (multiplicity 4)
Er 0.0000 0.0000 0.5000 (multiplicity 2)
Er 0.0000 0.4130 0.5000 (multiplicity 4)
Er 0.2241 0.1612 0.9444 (multiplicity 8)
Th 0.0000 0.5000 0.0000 (multiplicity 2)

Largest 10 diffraction maxima, low angle first, 2θ = 10–90°:
28.67°, intensity 26, (1 5 -1); 31.97°, intensity 64, (2 2 0); 32.30°, intensity 62, (2 2 -2); 32.44°, intensity 100, (0 0 2); 33.41°, intensity 73, (0 6 1); 46.31°, intensity 15, (2 4 1); 53.19°, intensity 16, (4 0 -2); 59.23°, intensity 17, (2 10 0); 59.43°, intensity 16, (2 10 -2); 64.08°, intensity 21, (4 0 -4)


Record 9
The following is a theoretical powder diffractogram of Dy3Er8Th4. It was derived from a DFT-relaxed cell (PBE, Alexandria), using a wavelength of 1.5418 Å.

Crystal structure
Unit cell a=13.3068 b=12.8620 c=6.5858 alpha=90.00 beta=119.28 gamma=90.00
Space group C2/m (No. 12)
Asymmetric unit:
Dy 0.0000 0.0000 0.0000 (multiplicity 2)
Dy 0.2500 0.2500 0.0000 (multiplicity 4)
Er 0.0000 0.2493 0.0000 (multiplicity 4)
Er 0.0000 0.3626 0.5000 (multiplicity 4)
Er 0.2382 0.5000 0.5072 (multiplicity 4)
Er 0.2428 0.5000 0.9986 (multiplicity 4)
Th 0.0000 0.0000 0.5000 (multiplicity 2)
Th 0.0000 0.5000 0.0000 (multiplicity 2)
Th 0.2500 0.2500 0.5000 (multiplicity 4)

Largest 10 diffraction maxima, low angle first, 2θ = 10–90°:
27.74°, intensity 72, (0 4 0); 29.24°, intensity 21, (3 3 -1); 30.82°, intensity 93, (4 0 0); 31.14°, intensity 100, (0 0 2); 31.32°, intensity 89, (4 0 -2); 31.85°, intensity 26, (2 4 0); 41.94°, intensity 47, (4 4 0); 42.19°, intensity 50, (0 4 2); 42.33°, intensity 45, (4 4 -2); 66.67°, intensity 21, (0 8 2)


Record 10
The following is a theoretical powder diffractogram of DyEr12Th5. It was derived from a DFT-relaxed cell (PBE, Alexandria), using a wavelength of 1.5418 Å.

Crystal structure
Unit cell a=18.3847 b=10.5576 c=6.1254 alpha=90.00 beta=109.46 gamma=90.00
Space group C2/m (No. 12)
Asymmetric unit:
Dy 0.0000 0.0000 0.0000 (multiplicity 2)
Er 0.0000 0.1658 0.5000 (multiplicity 4)
Er 0.0000 0.3362 0.0000 (multiplicity 4)
Er 0.1673 0.1656 0.3369 (multiplicity 8)
Er 0.1666 0.3340 0.8325 (multiplicity 8)
Th 0.0000 0.5000 0.5000 (multiplicity 2)
Th 0.1671 0.0000 0.8296 (multiplicity 4)
Th 0.1667 0.5000 0.3316 (multiplicity 4)

Largest 10 diffraction maxima, low angle first, 2θ = 10–90°:
30.96°, intensity 99, (6 0 0); 31.07°, intensity 98, (1 3 1); 35.97°, intensity 100, (2 0 2); 51.74°, intensity 60, (7 3 1); 61.47°, intensity 14, (8 0 2); 61.54°, intensity 43, (3 3 3); 61.73°, intensity 28, (6 6 0); 64.53°, intensity 12, (12 0 0); 84.43°, intensity 18, (13 3 1); 87.18°, intensity 17, (9 3 3)


Record 11
The following is a theoretical powder diffractogram of Dy6ErTh2. It was derived from a DFT-relaxed cell (PBE, Alexandria), using a wavelength of 1.5418 Å.

Crystal structure
Unit cell a=3.5582 b=3.5582 c=26.2287 alpha=90.00 beta=90.00 gamma=120.00
Space group P-6m2 (No. 187)
Asymmetric unit:
Dy 0.0000 0.0000 0.0636 (multiplicity 2)
Dy 0.0000 0.0000 0.2838 (multiplicity 2)
Dy 0.3333 0.6667 0.3924 (multiplicity 2)
Er 0.0000 0.0000 0.5000 (multiplicity 1)
Th 0.3333 0.6667 0.1716 (multiplicity 2)

Largest 10 diffraction maxima, low angle first, 2θ = 10–90°:
28.98°, intensity 45, (1 0 0); 30.70°, intensity 66, (0 0 9); 32.09°, intensity 58, (1 0 4); 33.73°, intensity 100, (1 0 5); 42.70°, intensity 29, (1 0 9); 51.36°, intensity 37, (1 1 0); 57.58°, intensity 32, (1 0 14); 61.02°, intensity 43, (1 1 9); 62.87°, intensity 17, (2 0 5); 85.38°, intensity 15, (2 1 5)


Record 12
The following is a theoretical powder diffractogram of Dy2Er7Th2. It was derived from a DFT-relaxed cell (PBE, Alexandria), using a wavelength of 1.5418 Å.

Crystal structure
Unit cell a=11.0293 b=11.3740 c=6.0753 alpha=90.00 beta=113.56 gamma=90.00
Space group C2/m (No. 12)
Asymmetric unit:
Dy 0.0000 0.2146 0.0000 (multiplicity 4)
Er 0.0000 0.0000 0.5000 (multiplicity 2)
Er 0.1732 0.2382 0.6725 (multiplicity 8)
Er 0.2379 0.0000 0.0789 (multiplicity 4)
Th 0.0864 0.5000 0.3084 (multiplicity 4)

Largest 10 diffraction maxima, low angle first, 2θ = 10–90°:
26.04°, intensity 25, (3 1 -1); 30.72°, intensity 32, (1 1 -2); 31.46°, intensity 49, (0 4 0); 32.36°, intensity 100, (2 2 1); 32.53°, intensity 31, (4 0 -1); 33.81°, intensity 46, (2 2 -2); 34.42°, intensity 29, (3 3 -1); 45.88°, intensity 20, (4 4 -1); 50.27°, intensity 14, (1 5 -2); 56.59°, intensity 15, (2 6 1)